Structure and theoretical X-ray powder pattern of Sr4NpN5 (a cell relaxed with PBE; Cu Kα X-rays).

Peak list (8 most intense, 2θ = 15–90°, in order of falling intensity)
2θ 29.7, d = 3.012 Å, I = 100
2θ 34.6, d = 2.596 Å, I = 47
2θ 49.3, d = 1.849 Å, I = 33
2θ 58.9, d = 1.567 Å, I = 33
2θ 34.0, d = 2.635 Å, I = 25
2θ 15.3, d = 5.805 Å, I = 24
2θ 20.0, d = 4.435 Å, I = 21
2θ 61.6, d = 1.506 Å, I = 18

Atomic structure:
```
data_Sr4NpN5
_chemical_formula_sum 'Sr4 Np1 N5'
_space_group_name_H-M_alt 'P 1'
_space_group_IT_number 1
_cell_length_a 6.375
_cell_length_b 6.375
_cell_length_c 6.375
_cell_angle_alpha 99.84
_cell_angle_beta 99.84
_cell_angle_gamma 131.17
loop_
_space_group_symop_operation_xyz
'x,y,z'
loop_
_atom_site_label
_atom_site_type_symbol
_atom_site_fract_x
_atom_site_fract_y
_atom_site_fract_z
Sr1 Sr 0.105 0.705 0.810
Sr2 Sr 0.295 0.105 0.400
Sr3 Sr 0.705 0.895 0.600
Sr4 Sr 0.895 0.295 0.190
Np1 Np 0.487 0.487 0.000
N1 N 0.070 0.070 0.000
N2 N 0.259 0.425 0.680
N3 N 0.425 0.745 0.166
N4 N 0.579 0.259 0.834
N5 N 0.745 0.579 0.320
```



Structure and theoretical X-ray powder pattern of Sr5NpN5 (a cell relaxed with PBE; Cu Kα X-rays).

Peak list (8 most intense, 2θ = 15–90°, in order of falling intensity)
2θ 29.4, d = 3.035 Å, I = 100
2θ 33.9, d = 2.646 Å, I = 25
2θ 34.1, d = 2.629 Å, I = 24
2θ 34.4, d = 2.610 Å, I = 23
2θ 48.8, d = 1.865 Å, I = 17
2θ 49.0, d = 1.858 Å, I = 16
2θ 57.9, d = 1.593 Å, I = 16
2θ 61.1, d = 1.517 Å, I = 16

Atomic structure:
```
data_Sr5NpN5
_chemical_formula_sum 'Sr5 Np1 N5'
_space_group_name_H-M_alt 'P 1'
_space_group_IT_number 1
_cell_length_a 6.417
_cell_length_b 6.417
_cell_length_c 7.405
_cell_angle_alpha 106.40
_cell_angle_beta 106.40
_cell_angle_gamma 48.70
loop_
_space_group_symop_operation_xyz
'x,y,z'
loop_
_atom_site_label
_atom_site_type_symbol
_atom_site_fract_x
_atom_site_fract_y
_atom_site_fract_z
Sr1 Sr 0.000 0.000 0.000
Sr2 Sr 0.326 0.332 0.191
Sr3 Sr 0.329 0.330 0.655
Sr4 Sr 0.668 0.674 0.809
Sr5 Sr 0.670 0.671 0.345
Np1 Np 0.014 0.986 0.500
N1 N 0.132 0.141 0.772
N2 N 0.135 0.139 0.359
N3 N 0.432 0.568 0.500
N4 N 0.859 0.868 0.228
N5 N 0.861 0.865 0.641
```



Structure and theoretical X-ray powder pattern of Sr2Np2N7 (a cell relaxed with PBE; Cu Kα X-rays).

Peak list (8 most intense, 2θ = 15–90°, in order of falling intensity)
2θ 28.5, d = 3.137 Å, I = 100
2θ 27.3, d = 3.272 Å, I = 98
2θ 29.3, d = 3.051 Å, I = 77
2θ 50.0, d = 1.826 Å, I = 36
2θ 18.6, d = 4.777 Å, I = 36
2θ 48.4, d = 1.881 Å, I = 35
2θ 52.1, d = 1.755 Å, I = 35
2θ 21.4, d = 4.159 Å, I = 29

Atomic structure:
```
data_Sr2Np2N7
_chemical_formula_sum 'Sr2 Np2 N7'
_space_group_name_H-M_alt 'P 1'
_space_group_IT_number 1
_cell_length_a 6.556
_cell_length_b 6.556
_cell_length_c 4.159
_cell_angle_alpha 90.00
_cell_angle_beta 90.00
_cell_angle_gamma 93.55
loop_
_space_group_symop_operation_xyz
'x,y,z'
loop_
_atom_site_label
_atom_site_type_symbol
_atom_site_fract_x
_atom_site_fract_y
_atom_site_fract_z
Sr1 Sr 0.217 0.217 0.000
Sr2 Sr 0.783 0.783 0.000
Np1 Np 0.222 0.778 0.500
Np2 Np 0.778 0.222 0.500
N1 N 0.000 0.000 0.500
N2 N 0.076 0.437 0.500
N3 N 0.220 0.780 0.000
N4 N 0.437 0.076 0.500
N5 N 0.563 0.924 0.500
N6 N 0.780 0.220 0.000
N7 N 0.924 0.563 0.500
```



Structure and theoretical X-ray powder pattern of Sr2NpTc2N6 (a cell relaxed with PBE; Cu Kα X-rays).

Peak list (8 most intense, 2θ = 15–90°, in order of falling intensity)
2θ 29.4, d = 3.043 Å, I = 100
2θ 31.0, d = 2.882 Å, I = 63
2θ 19.8, d = 4.495 Å, I = 43
2θ 26.7, d = 3.334 Å, I = 31
2θ 53.1, d = 1.724 Å, I = 29
2θ 56.9, d = 1.619 Å, I = 28
2θ 43.2, d = 2.093 Å, I = 24
2θ 52.1, d = 1.757 Å, I = 21

Atomic structure:
```
data_Sr2NpTc2N6
_chemical_formula_sum 'Sr2 Np1 Tc2 N6'
_space_group_name_H-M_alt 'P 1'
_space_group_IT_number 1
_cell_length_a 6.729
_cell_length_b 6.729
_cell_length_c 6.729
_cell_angle_alpha 53.77
_cell_angle_beta 53.77
_cell_angle_gamma 53.77
loop_
_space_group_symop_operation_xyz
'x,y,z'
loop_
_atom_site_label
_atom_site_type_symbol
_atom_site_fract_x
_atom_site_fract_y
_atom_site_fract_z
Sr1 Sr 0.214 0.214 0.214
Sr2 Sr 0.786 0.786 0.786
Np1 Np 0.000 0.000 0.000
Tc1 Tc 0.433 0.433 0.433
Tc2 Tc 0.567 0.567 0.567
N1 N 0.239 0.239 0.756
N2 N 0.239 0.756 0.239
N3 N 0.244 0.761 0.761
N4 N 0.756 0.239 0.239
N5 N 0.761 0.244 0.761
N6 N 0.761 0.761 0.244
```



Structure and theoretical X-ray powder pattern of Sr4Th3NpN8 (a cell relaxed with PBE; Cu Kα X-rays).

Peak list (8 most intense, 2θ = 15–90°, in order of falling intensity)
2θ 29.6, d = 3.017 Å, I = 100
2θ 34.3, d = 2.616 Å, I = 96
2θ 58.6, d = 1.576 Å, I = 48
2θ 29.5, d = 3.030 Å, I = 35
2θ 49.4, d = 1.846 Å, I = 34
2θ 49.2, d = 1.853 Å, I = 33
2θ 28.3, d = 3.150 Å, I = 24
2θ 61.5, d = 1.508 Å, I = 18

Atomic structure:
```
data_Sr4Th3NpN8
_chemical_formula_sum 'Sr4 Th3 Np1 N8'
_space_group_name_H-M_alt 'P 1'
_space_group_IT_number 1
_cell_length_a 7.410
_cell_length_b 7.410
_cell_length_c 7.410
_cell_angle_alpha 59.78
_cell_angle_beta 59.78
_cell_angle_gamma 59.78
loop_
_space_group_symop_operation_xyz
'x,y,z'
loop_
_atom_site_label
_atom_site_type_symbol
_atom_site_fract_x
_atom_site_fract_y
_atom_site_fract_z
Sr1 Sr 0.000 0.000 0.000
Sr2 Sr 0.000 0.500 0.500
Sr3 Sr 0.500 0.000 0.500
Sr4 Sr 0.500 0.500 0.000
Th1 Th 0.000 0.000 0.500
Th2 Th 0.000 0.500 0.000
Th3 Th 0.500 0.000 0.000
Np1 Np 0.500 0.500 0.500
N1 N 0.236 0.236 0.236
N2 N 0.250 0.726 0.726
N3 N 0.274 0.274 0.750
N4 N 0.274 0.750 0.274
N5 N 0.726 0.250 0.726
N6 N 0.726 0.726 0.250
N7 N 0.750 0.274 0.274
N8 N 0.764 0.764 0.764
```



Structure and theoretical X-ray powder pattern of SrNpV2N6 (a cell relaxed with PBE; Cu Kα X-rays).

Peak list (8 most intense, 2θ = 15–90°, in order of falling intensity)
2θ 17.0, d = 5.231 Å, I = 100
2θ 25.5, d = 3.487 Å, I = 80
2θ 24.9, d = 3.575 Å, I = 62
2θ 17.6, d = 5.029 Å, I = 57
2θ 31.0, d = 2.887 Å, I = 44
2θ 36.7, d = 2.446 Å, I = 42
2θ 33.5, d = 2.673 Å, I = 42
2θ 37.5, d = 2.395 Å, I = 30

Atomic structure:
```
data_SrNpV2N6
_chemical_formula_sum 'Sr2 Np2 V4 N12'
_space_group_name_H-M_alt 'P 1'
_space_group_IT_number 1
_cell_length_a 7.439
_cell_length_b 7.439
_cell_length_c 6.236
_cell_angle_alpha 106.00
_cell_angle_beta 106.00
_cell_angle_gamma 86.21
loop_
_space_group_symop_operation_xyz
'x,y,z'
loop_
_atom_site_label
_atom_site_type_symbol
_atom_site_fract_x
_atom_site_fract_y
_atom_site_fract_z
Sr1 Sr 0.099 0.901 0.750
Sr2 Sr 0.901 0.099 0.250
Np1 Np 0.287 0.713 0.250
Np2 Np 0.713 0.287 0.750
V1 V 0.217 0.369 0.834
V2 V 0.369 0.217 0.334
V3 V 0.631 0.783 0.666
V4 V 0.783 0.631 0.166
N1 N 0.002 0.248 0.703
N2 N 0.194 0.620 0.906
N3 N 0.248 0.002 0.203
N4 N 0.297 0.382 0.146
N5 N 0.380 0.806 0.594
N6 N 0.382 0.297 0.646
N7 N 0.618 0.703 0.354
N8 N 0.620 0.194 0.406
N9 N 0.703 0.618 0.854
N10 N 0.752 0.998 0.797
N11 N 0.806 0.380 0.094
N12 N 0.998 0.752 0.297
```